# 1
The following is a theoretical XRD peak list of LiCa2Al12Ni3. It was derived from a structure optimized by DFT (PBE), using CuKα.
Kinematic intensities with the Lorentz-polarization factor, no thermal factor.

Top 12 peaks for 2θ = 10–90°, by angle:
| d_spacing | intensity |
| --- | --- |
| 6.889 | 19 |
| 5.899 | 30 |
| 3.808 | 20 |
| 3.658 | 100 |
| 3.444 | 11 |
| 2.435 | 15 |
| 2.395 | 17 |
| 2.159 | 52 |
| 2.094 | 27 |
| 1.904 | 21 |
| 1.859 | 21 |
| 1.600 | 15 |

Structural model:
```
LiCa2Al12Ni3
1.0
4.318 2.493 5.899
-4.318 2.493 5.899
0.000 -4.986 5.899
Li Ca Al Ni
1 2 12 3
Cartesian
0.000 0.000 0.000 Li
0.000 0.000 7.173 Ca
0.000 0.000 10.523 Ca
-2.702 -1.560 9.426 Al
0.000 -2.416 5.263 Al
-2.093 1.208 5.263 Al
0.000 -3.120 8.270 Al
-2.702 1.560 8.270 Al
-2.093 -1.208 12.433 Al
2.093 1.208 5.263 Al
2.702 -1.560 9.426 Al
0.000 3.120 9.426 Al
2.093 -1.208 12.433 Al
0.000 2.416 12.433 Al
2.702 1.560 8.270 Al
-4.318 0.000 8.848 Ni
-2.159 1.246 2.949 Ni
2.159 1.246 2.949 Ni
```

=====

# 2
The following is a theoretical XRD peak list of Li3Ca2AlZn12. It was derived from a structure optimized by DFT (PBE), using CuKα.
Kinematic intensities with the Lorentz-polarization factor, no thermal factor.

Top 12 peaks for 2θ = 10–90°, by angle:
| d_spacing | intensity |
| --- | --- |
| 5.030 | 49 |
| 4.420 | 22 |
| 2.669 | 21 |
| 2.641 | 29 |
| 2.565 | 100 |
| 2.451 | 20 |
| 2.210 | 36 |
| 2.043 | 17 |
| 2.024 | 30 |
| 1.710 | 18 |
| 1.575 | 24 |
| 1.489 | 22 |

Structural model:
```
Li3Ca2AlZn12
1.0
3.149 1.818 10.061
-3.149 1.818 10.061
0.000 -3.636 10.061
Li Ca Al Zn
3 2 1 12
Cartesian
-1.575 -0.909 10.061 Li
-1.575 0.909 20.122 Li
0.000 1.818 10.061 Li
0.000 0.000 4.363 Ca
0.000 0.000 25.820 Ca
0.000 0.000 15.091 Al
0.000 -2.184 8.544 Zn
-1.891 1.092 8.544 Zn
-1.519 -0.877 13.084 Zn
-1.891 -1.092 21.639 Zn
0.000 -1.754 17.099 Zn
-1.519 0.877 17.099 Zn
1.519 -0.877 13.084 Zn
0.000 1.754 13.084 Zn
1.891 1.092 8.544 Zn
1.519 0.877 17.099 Zn
1.891 -1.092 21.639 Zn
0.000 2.184 21.639 Zn
```

=====

# 3
The following is a theoretical XRD peak list of CaMg3Al. It was derived from a structure optimized by DFT (PBE), using CuKα.
Kinematic intensities with the Lorentz-polarization factor, no thermal factor.

Top 12 peaks for 2θ = 10–90°, by angle:
| d_spacing | intensity |
| --- | --- |
| 3.333 | 8 |
| 3.200 | 9 |
| 2.970 | 11 |
| 2.787 | 100 |
| 2.763 | 37 |
| 2.618 | 15 |
| 2.608 | 9 |
| 2.320 | 69 |
| 2.274 | 12 |
| 1.742 | 9 |
| 1.634 | 11 |
| 1.407 | 8 |

Structural model:
```
CaMg3Al
1.0
8.037 -4.943 0.000
8.037 4.943 0.000
-1.381 0.000 6.390
Ca Mg Al
4 12 4
Cartesian
7.001 4.497 4.792 Ca
7.691 1.421 1.597 Ca
7.001 -1.421 4.792 Ca
7.691 -4.497 1.597 Ca
2.727 1.608 0.473 Mg
2.051 1.637 3.829 Mg
4.474 0.019 2.597 Mg
3.783 -0.019 5.792 Mg
2.037 -1.608 3.668 Mg
2.741 -1.637 0.634 Mg
11.951 1.637 5.756 Mg
12.656 1.608 2.722 Mg
10.909 0.019 0.597 Mg
10.218 -0.019 3.792 Mg
12.642 -1.637 2.561 Mg
11.965 -1.608 5.917 Mg
5.719 1.624 4.557 Al
8.283 1.624 5.028 Al
6.409 -1.624 1.362 Al
8.974 -1.624 1.833 Al
```

=====

# 4
The following is a theoretical XRD peak list of CaMg10Al3. It was derived from a structure optimized by DFT (PBE), using CuKα.
Kinematic intensities with the Lorentz-polarization factor, no thermal factor.

Top 12 peaks for 2θ = 10–90°, by angle:
| d_spacing | intensity |
| --- | --- |
| 4.090 | 30 |
| 3.168 | 38 |
| 2.892 | 16 |
| 2.726 | 100 |
| 2.504 | 72 |
| 2.395 | 56 |
| 2.136 | 66 |
| 1.670 | 26 |
| 1.625 | 15 |
| 1.555 | 16 |
| 1.446 | 36 |
| 1.197 | 15 |

Structural model:
```
CaMg10Al3
1.0
0.000 7.083 7.083
7.083 0.000 7.083
7.083 7.083 0.000
Ca Mg Al
2 20 6
Cartesian
3.542 3.542 3.542 Ca
10.625 10.625 10.625 Ca
2.448 2.448 0.000 Mg
4.635 4.635 0.000 Mg
2.448 0.000 2.448 Mg
7.083 4.635 2.448 Mg
4.635 0.000 4.635 Mg
7.083 2.448 4.635 Mg
8.691 5.476 5.476 Mg
0.000 2.448 2.448 Mg
4.635 7.083 2.448 Mg
4.635 2.448 7.083 Mg
5.476 5.476 5.476 Mg
8.691 8.691 5.476 Mg
8.691 5.476 8.691 Mg
5.476 8.691 5.476 Mg
5.476 5.476 8.691 Mg
8.691 8.691 8.691 Mg
0.000 4.635 4.635 Mg
2.448 7.083 4.635 Mg
2.448 4.635 7.083 Mg
5.476 8.691 8.691 Mg
7.083 7.083 3.747 Al
7.083 3.747 7.083 Al
10.420 7.083 7.083 Al
3.747 7.083 7.083 Al
7.083 10.420 7.083 Al
7.083 7.083 10.420 Al
```